Diffraction record for Mg4Np3N8. The X-ray diffraction stick pattern is theoretical, not measured: it uses DFT lattice parameters and positions (GGA-PBE) and copper Kα.
No peak broadening, texture or thermal motion is included.

The 10 most intense peaks (2θ from 10° to 80°), sorted by position:
hkl 0 0 3, 2θ 16.15, intensity 100
hkl 1 0 1, 2θ 16.31, intensity 27
hkl 0 2 1, 2θ 31.52, intensity 90
hkl 2 0 2, 2θ 32.95, intensity 46
hkl 0 2 4, 2θ 38.14, intensity 53
hkl 2 0 5, 2θ 41.67, intensity 27
hkl 0 2 7, 2θ 50.07, intensity 24
hkl 2 0 8, 2θ 54.83, intensity 20
hkl 2 2 0, 2θ 55.26, intensity 22
hkl 2 2 3, 2θ 57.97, intensity 24

Structural model:
a b c (Å): 6.6499 6.6499 16.4657
angles (deg): 90.00 90.00 120.00
Space group R-3m (No. 166, hexagonal axes)
Symmetry-distinct sites (fractional):
Mg1 0.0000 0.0000 0.0000 (multiplicity 3)
Mg2 0.0000 0.0000 0.1489 (multiplicity 6)
Mg3 0.0000 0.0000 0.5000 (multiplicity 3)
Np1 0.0000 0.5000 0.0000 (multiplicity 9)
N1 0.0000 0.0000 0.2704 (multiplicity 6)
N2 0.0097 0.5049 0.2607 (multiplicity 18)